1.
This entry pairs a crystal structure of LiSn2AuS4 with its theoretical powder diffractogram. Radiation: Cu Kα (λ = 1.5418 Å). Structure: a cell relaxed with GGA-PBE.
Kinematic intensities with the Lorentz-polarization factor, no thermal factor.

```
LiSn2AuS4
1.0
0.0000 4.7321 5.2700
3.9109 0.0000 5.2700
3.9109 4.7321 0.0000
Li Sn Au S
1 2 1 4
Direct
0.0000 0.0000 0.0000
0.2661 0.2661 0.2339
0.7661 0.7661 0.7339
0.5226 0.5226 0.4774
0.1031 0.6082 0.8969
0.3577 0.8543 0.1457
0.6082 0.1031 0.3918
0.8543 0.3577 0.6423
```

Most intense lines, 10° ≤ 2θ ≤ 80°, by angle:
d/Å	2theta	I (rel.)
5.233	16.9	90
3.521	25.3	78
3.141	28.4	100
3.015	29.6	32
1.984	45.7	57
1.890	48.2	47

***

2.
This entry pairs a crystal structure of Li3SbAu with its theoretical powder diffractogram. Radiation: Cu Kα (λ = 1.5418 Å). Structure: a cell relaxed with GGA-PBE.
Kinematic intensities with the Lorentz-polarization factor, no thermal factor.

```
Li3SbAu
1.0
4.9698 0.0000 0.0000
1.2556 4.8272 0.0000
2.4628 0.0191 7.2888
Li Sb Au
6 2 2
Direct
0.0505 0.2498 0.4016
0.2486 0.2500 0.0020
0.4462 0.2505 0.6097
0.5538 0.7495 0.3903
0.7514 0.7500 0.9980
0.9495 0.7502 0.5984
0.3583 0.7502 0.7822
0.6417 0.2498 0.2178
0.1418 0.7497 0.2168
0.8582 0.2503 0.7832
```

Most intense lines, 10° ≤ 2θ ≤ 80°, by angle:
d/Å	2theta	I (rel.)
3.802	23.4	100
3.644	24.4	64
2.981	30.0	54
2.414	37.3	30
2.405	37.4	30
2.343	38.4	51